(1)
This entry pairs a crystal structure of Li2Be2ZnAu5 with its calculated powder XRD pattern. Radiation: a wavelength of 1.5418 Å. Structure: a crystal structure in Alexandria, relaxed with PBE.

Structural model:
```
data_Li2Be2ZnAu5
_cell_length_a 9.769
_cell_length_b 9.769
_cell_length_c 3.284
_cell_angle_alpha 90.00
_cell_angle_beta 90.00
_cell_angle_gamma 90.00
_symmetry_space_group_name_H-M 'P 4/m b m'
_symmetry_Int_Tables_number 127
_symmetry_space_group_name_Hall '-P 4 2ab'
loop_
_atom_site_label
_atom_site_type_symbol
_atom_site_fract_x
_atom_site_fract_y
_atom_site_fract_z
Li1 Li 0.173 0.327 0.000
Be1 Be 0.126 0.626 0.000
Zn1 Zn 0.000 0.000 0.000
Au1 Au 0.000 0.500 0.500
Au2 Au 0.077 0.795 0.500
```

Largest 10 diffraction maxima, low angle first, 2θ from 15° to 90°:
2θ = 20.33°, I = 46; 2θ = 27.16°, I = 98; 2θ = 28.90°, I = 56; 2θ = 33.06°, I = 52; 2θ = 37.98°, I = 58; 2θ = 40.07°, I = 100; 2θ = 41.33°, I = 39; 2θ = 43.29°, I = 55; 2θ = 47.31°, I = 59; 2θ = 74.51°, I = 49


(2)
This entry pairs a crystal structure of MgBe6Au6 with its calculated powder XRD pattern. Radiation: a wavelength of 1.5418 Å. Structure: a crystal structure in Alexandria, relaxed with PBE.

Structural model:
```
data_MgBe6Au6
_cell_length_a 4.870
_cell_length_b 8.419
_cell_length_c 8.575
_cell_angle_alpha 90.00
_cell_angle_beta 90.00
_cell_angle_gamma 90.00
_symmetry_space_group_name_H-M 'I m m m'
_symmetry_Int_Tables_number 71
_symmetry_space_group_name_Hall '-I 2 2'
loop_
_atom_site_label
_atom_site_type_symbol
_atom_site_fract_x
_atom_site_fract_y
_atom_site_fract_z
Mg1 Mg 0.000 0.000 0.000
Be1 Be 0.000 0.261 0.500
Be2 Be 0.250 0.250 0.250
Au1 Au 0.000 0.000 0.336
Au2 Au 0.000 0.325 0.000
Au3 Au 0.000 0.500 0.330
```

Largest 10 diffraction maxima, low angle first, 2θ from 15° to 90°:
2θ = 21.11°, I = 39; 2θ = 29.74°, I = 45; 2θ = 29.93°, I = 80; 2θ = 36.45°, I = 100; 2θ = 36.92°, I = 60; 2θ = 42.49°, I = 32; 2θ = 42.75°, I = 18; 2θ = 42.93°, I = 28; 2θ = 48.11°, I = 34; 2θ = 78.42°, I = 23


(3)
This entry pairs a crystal structure of MgBe2Au with its calculated powder XRD pattern. Radiation: a wavelength of 1.5418 Å. Structure: a crystal structure in Alexandria, relaxed with PBE.

Structural model:
```
data_MgBe2Au
_cell_length_a 6.931
_cell_length_b 3.990
_cell_length_c 4.832
_cell_angle_alpha 90.00
_cell_angle_beta 118.06
_cell_angle_gamma 90.00
_symmetry_space_group_name_H-M 'C 1 2/m 1'
_symmetry_Int_Tables_number 12
_symmetry_space_group_name_Hall '-C 2y'
loop_
_atom_site_label
_atom_site_type_symbol
_atom_site_fract_x
_atom_site_fract_y
_atom_site_fract_z
Mg1 Mg 0.000 0.000 0.000
Be1 Be 0.197 0.000 0.591
Au1 Au 0.000 0.500 0.500
```

Largest 10 diffraction maxima, low angle first, 2θ from 15° to 90°:
2θ = 20.83°, I = 72; 2θ = 26.69°, I = 100; 2θ = 29.20°, I = 44; 2θ = 29.42°, I = 86; 2θ = 38.25°, I = 48; 2θ = 38.47°, I = 24; 2θ = 42.39°, I = 19; 2θ = 45.36°, I = 32; 2θ = 50.54°, I = 29; 2θ = 54.98°, I = 23